Diffraction record for La2Pm5SmMg. The powder XRD pattern is simulated, not measured: it uses the GGA-PBE geometry in Alexandria and Cu Kα.

Peak list (10 most intense, 5° ≤ 2θ ≤ 70°, in order of falling intensity)
31.8°, I = 100; 29.8°, I = 33; 56.6°, I = 19; 27.6°, I = 14; 58.4°, I = 11; 33.2°, I = 11; 60.5°, I = 9; 42.6°, I = 9; 46.6°, I = 9; 50.1°, I = 8

Crystal structure
```
La2Pm5SmMg
1.0
2.8146 -10.1725 0.0000
2.8146 10.1725 0.0000
0.0000 0.0000 10.8034
La Pm Sm Mg
4 10 2 2
direct
0.1159 0.8841 0.5416
0.1159 0.8841 0.9584
0.8841 0.1159 0.0416
0.8841 0.1159 0.4584
0.0140 0.9860 0.2500
0.2874 0.7126 0.5534
0.2874 0.7126 0.9466
0.3817 0.6183 0.2500
0.5000 0.5000 0.0000
0.5000 0.5000 0.5000
0.6183 0.3817 0.7500
0.7126 0.2874 0.0534
0.7126 0.2874 0.4466
0.9860 0.0140 0.7500
0.2017 0.7983 0.2500
0.7983 0.2017 0.7500
0.4052 0.5948 0.7500
0.5948 0.4052 0.2500
```



Diffraction record for ThTlCd11. The powder XRD pattern is simulated, not measured: it uses the GGA-PBE geometry in Alexandria and Cu Kα.

Peak list (10 most intense, 5° ≤ 2θ ≤ 70°, in order of falling intensity)
36.0°, I = 100; 35.4°, I = 89; 34.0°, I = 88; 34.3°, I = 73; 35.5°, I = 52; 30.6°, I = 52; 38.7°, I = 42; 30.4°, I = 33; 35.8°, I = 30; 40.2°, I = 29

Crystal structure
```
ThTlCd11
1.0
3.0861 -7.0979 0.0000
3.0861 7.0979 0.0000
-2.9926 0.0000 7.0327
Th Tl Cd
1 1 11
direct
0.0000 0.0000 0.0000
0.0000 0.0000 0.5000
0.0000 0.5000 0.0000
0.0036 0.3607 0.3486
0.3035 0.5151 0.7932
0.3607 0.0036 0.3486
0.4849 0.6965 0.2068
0.5000 0.0000 0.0000
0.5000 0.5000 0.5000
0.5151 0.3035 0.7932
0.6393 0.9964 0.6514
0.6965 0.4849 0.2068
0.9964 0.6393 0.6514
```



Diffraction record for La2PmNdHo5. The powder XRD pattern is simulated, not measured: it uses the GGA-PBE geometry in Alexandria and Cu Kα.

Peak list (10 most intense, 5° ≤ 2θ ≤ 70°, in order of falling intensity)
30.6°, I = 100; 29.1°, I = 53; 28.5°, I = 43; 52.5°, I = 24; 55.2°, I = 17; 37.8°, I = 14; 55.7°, I = 12; 40.0°, I = 12; 32.6°, I = 12; 45.8°, I = 12

Crystal structure
```
La2PmNdHo5
1.0
-4.3452 4.3452 7.9163
4.3452 -4.3452 7.9163
4.3452 4.3452 -7.9163
La Pm Nd Ho
4 2 2 10
direct
0.1177 0.6177 0.7355
0.3823 0.1177 0.5000
0.6177 0.8823 0.5000
0.8823 0.3823 0.2645
0.2500 0.2500 0.0000
0.7500 0.7500 0.0000
0.2500 0.7500 0.5000
0.7500 0.2500 0.5000
0.0000 0.0000 0.0000
0.0731 0.1462 0.5000
0.1462 0.6462 0.0730
0.3538 0.4269 0.5000
0.4269 0.9269 0.0730
0.5000 0.5000 0.0000
0.5731 0.0731 0.9270
0.6462 0.5731 0.5000
0.8538 0.3538 0.9270
0.9269 0.8538 0.5000
```